Theoretical powder diffraction line list of Tb2YMgHg4 for Cu Kα (weighted mean of Kα1 and Kα2), from a crystal structure in Alexandria, relaxed with PBE.
Intensities are scaled so that the largest is 100.

Atomic structure:
```
Tb2YMgHg4
1.0
2.585 1.492 8.571
-2.585 1.492 8.571
0.000 -2.984 8.571
Tb Y Mg Hg
2 1 1 4
Cartesian
0.000 0.000 6.307
0.000 0.000 19.406
0.000 0.000 0.000
0.000 0.000 12.857
0.000 0.000 3.204
0.000 0.000 9.607
0.000 0.000 16.106
0.000 0.000 22.509
```

The 12 most intense peaks (10° ≤ 2θ ≤ 90°), by angle:
d [Å], I/Imax
4.228, 9
3.674, 21
2.611, 100
2.585, 99
1.837, 36
1.513, 18
1.497, 37
1.492, 19
1.305, 11
1.292, 12
1.165, 16
1.158, 16